Record 1
Structure and calculated powder diffractogram of Tm4AlZn (a PBE-relaxed structure; copper Kα).

Atomic structure:
```
data_Tm4AlZn
_cell_length_a 3.4824
_cell_length_b 3.4824
_cell_length_c 12.4562
_cell_angle_alpha 90.00
_cell_angle_beta 90.00
_cell_angle_gamma 90.00
_symmetry_space_group_name_H-M 'P 4/m m m'
_symmetry_Int_Tables_number 123
_symmetry_space_group_name_Hall '-P 4 2'
loop_
_atom_site_label
_atom_site_type_symbol
_atom_site_fract_x
_atom_site_fract_y
_atom_site_fract_z
_atom_site_occupancy
Tm1 Tm 0.0000 0.0000 0.1415 1
Tm2 Tm 0.5000 0.5000 0.3474 1
Al1 Al 0.0000 0.0000 0.5000 1
Zn1 Zn 0.5000 0.5000 0.0000 1
```

Principal peaks in the range 10 to 80 degrees two-theta, in order of falling intensity:
2θ (°)  I (rel.)  h k l
33.6  100  1 0 3
36.5  46  1 1 0
26.6  33  1 0 1
63.8  31  2 1 3
47.0  17  1 1 4
52.6  16  2 0 0
28.7  16  0 0 4
58.1  14  1 1 6
58.2  12  1 0 7
43.6  8  0 0 6


Record 2
Structure and calculated powder diffractogram of NaTm2AgF8 (a PBE-relaxed structure; copper Kα).

Atomic structure:
```
data_NaTm2AgF8
_cell_length_a 3.7857
_cell_length_b 5.7683
_cell_length_c 7.5898
_cell_angle_alpha 90.00
_cell_angle_beta 90.00
_cell_angle_gamma 90.00
_symmetry_space_group_name_H-M 'P m m m'
_symmetry_Int_Tables_number 47
loop_
_symmetry_equiv_pos_as_xyz
'x,y,z'
'-x,-y,-z'
'-x,-y,z'
'x,y,-z'
'x,-y,-z'
'-x,y,z'
'-x,y,-z'
'x,-y,z'
loop_
_atom_site_label
_atom_site_type_symbol
_atom_site_fract_x
_atom_site_fract_y
_atom_site_fract_z
_atom_site_occupancy
Na1 Na 0.0000 0.0000 0.0000 1
Tm1 Tm 0.5000 0.5000 0.2463 1
Ag1 Ag 0.0000 0.0000 0.5000 1
F1 F 0.0000 0.2841 0.2429 1
F2 F 0.5000 0.2790 0.0000 1
F3 F 0.5000 0.2878 0.5000 1
```

Principal peaks in the range 10 to 80 degrees two-theta, in order of falling intensity:
2θ (°)  I (rel.)  h k l
28.2  100  1 1 0
46.2  42  1 2 2
56.6  28  2 1 2
15.4  25  0 1 0
53.4  17  1 3 0
33.4  14  1 0 2
23.5  14  1 0 0
74.6  12  2 3 2
48.1  10  2 0 0
47.9  10  0 0 4


Record 3
Structure and calculated powder diffractogram of NbAsO4 (a PBE-relaxed structure; copper Kα).

Atomic structure:
```
data_NbAsO4
_cell_length_a 5.5761
_cell_length_b 5.0400
_cell_length_c 12.0397
_cell_angle_alpha 90.00
_cell_angle_beta 90.00
_cell_angle_gamma 90.00
_symmetry_space_group_name_H-M 'P n a 21'
_symmetry_Int_Tables_number 33
loop_
_symmetry_equiv_pos_as_xyz
'x,y,z'
'-x,-y,z+1/2'
'-x+1/2,y+1/2,z+1/2'
'x+1/2,-y+1/2,z'
loop_
_atom_site_label
_atom_site_type_symbol
_atom_site_fract_x
_atom_site_fract_y
_atom_site_fract_z
_atom_site_occupancy
Nb1 Nb 0.1068 0.0176 0.0000 1
As1 As 0.0676 0.4052 0.2524 1
O1 O 0.0844 0.7113 0.4368 1
O2 O 0.1315 0.2282 0.5332 1
O3 O 0.1450 0.8291 0.8305 1
O4 O 0.1579 0.1619 0.1502 1
```

Principal peaks in the range 10 to 80 degrees two-theta, in order of falling intensity:
2θ (°)  I (rel.)  h k l
28.1  100  1 1 2
24.9  44  1 1 1
29.7  35  0 0 4
19.1  29  0 1 1
51.7  22  1 1 6
33.0  19  2 0 1
49.3  15  2 2 1
54.1  14  2 2 3
28.4  13  0 1 3
53.1  12  3 1 1


Record 4
Structure and calculated powder diffractogram of La7Sm4Dy (a PBE-relaxed structure; copper Kα).

Atomic structure:
```
data_La7Sm4Dy
_cell_length_a 6.4111
_cell_length_b 7.3280
_cell_length_c 9.7449
_cell_angle_alpha 79.54
_cell_angle_beta 70.81
_cell_angle_gamma 89.97
_symmetry_space_group_name_H-M 'P -1'
_symmetry_Int_Tables_number 2
loop_
_symmetry_equiv_pos_as_xyz
'x,y,z'
'-x,-y,-z'
loop_
_atom_site_label
_atom_site_type_symbol
_atom_site_fract_x
_atom_site_fract_y
_atom_site_fract_z
_atom_site_occupancy
La1 La 0.0000 0.0000 0.0000 1
La2 La 0.1665 0.9156 0.3344 1
La3 La 0.3326 0.3356 0.6668 1
La4 La 0.4995 0.7479 0.0002 1
Sm1 Sm 0.1634 0.4171 0.3326 1
Sm2 Sm 0.3343 0.8320 0.6680 1
Dy1 Dy 0.0000 0.5000 0.0000 1
```

Principal peaks in the range 10 to 80 degrees two-theta, in order of falling intensity:
2θ (°)  I (rel.)  h k l
29.7  100  1 2 0
34.3  68  2 0 -1
29.6  51  2 0 2
29.8  49  -1 2 1
49.4  49  3 2 2
34.6  33  1 2 3
58.6  22  2 0 -4
58.8  22  3 2 5
58.5  15  4 0 1
58.9  14  1 2 6


Record 5
Structure and calculated powder diffractogram of LaHfAu2 (a PBE-relaxed structure; copper Kα).

Atomic structure:
```
data_LaHfAu2
_cell_length_a 7.2001
_cell_length_b 7.2001
_cell_length_c 7.2001
_cell_angle_alpha 90.00
_cell_angle_beta 90.00
_cell_angle_gamma 90.00
_symmetry_space_group_name_H-M 'F m -3 m'
_symmetry_Int_Tables_number 225
_symmetry_space_group_name_Hall '-F 4 2 3'
loop_
_atom_site_label
_atom_site_type_symbol
_atom_site_fract_x
_atom_site_fract_y
_atom_site_fract_z
_atom_site_occupancy
La1 La 0.0000 0.0000 0.0000 1
Hf1 Hf 0.0000 0.0000 0.5000 1
Au1 Au 0.2500 0.2500 0.2500 1
```

Principal peaks in the range 10 to 80 degrees two-theta, in order of falling intensity:
2θ (°)  I (rel.)  h k l
35.3  100  2 2 0
63.3  37  4 2 2
50.7  18  4 0 0
74.6  12  4 4 0
24.7  2  2 0 0
57.2  1  4 2 0
21.4  1  1 1 1
43.5  1  2 2 2


Record 6
Structure and calculated powder diffractogram of Mg3Ni4Sn2 (a PBE-relaxed structure; copper Kα).

Atomic structure:
```
data_Mg3Ni4Sn2
_cell_length_a 4.3674
_cell_length_b 4.3674
_cell_length_c 8.3628
_cell_angle_alpha 90.00
_cell_angle_beta 90.00
_cell_angle_gamma 120.00
_symmetry_space_group_name_H-M 'P -3 m 1'
_symmetry_Int_Tables_number 164
_symmetry_space_group_name_Hall '-P 3 2"'
loop_
_atom_site_label
_atom_site_type_symbol
_atom_site_fract_x
_atom_site_fract_y
_atom_site_fract_z
_atom_site_occupancy
Mg1 Mg 0.0000 0.0000 0.0000 1
Mg2 Mg 0.3333 0.6667 0.5753 1
Ni1 Ni 0.0000 0.0000 0.3379 1
Ni2 Ni 0.3333 0.6667 0.8878 1
Sn1 Sn 0.3333 0.6667 0.2078 1
```

Principal peaks in the range 10 to 80 degrees two-theta, in order of falling intensity:
2θ (°)  I (rel.)  h k l
40.2  100  1 0 3
41.3  96  1 1 0
25.9  43  1 0 1
59.0  31  0 2 3
74.6  31  2 1 3
21.2  19  0 0 2
75.4  16  3 0 0
72.2  16  0 1 6
46.9  15  1 1 2
10.6  14  0 0 1


Record 7
Structure and calculated powder diffractogram of GdBi3 (a PBE-relaxed structure; copper Kα).

Atomic structure:
```
data_GdBi3
_cell_length_a 4.6728
_cell_length_b 11.2346
_cell_length_c 4.6710
_cell_angle_alpha 90.00
_cell_angle_beta 90.00
_cell_angle_gamma 90.00
_symmetry_space_group_name_H-M 'I m m 2'
_symmetry_Int_Tables_number 44
loop_
_symmetry_equiv_pos_as_xyz
'x,y,z'
'-x,-y,z'
'-x,y,z'
'x,-y,z'
'x+1/2,y+1/2,z+1/2'
'-x+1/2,-y+1/2,z+1/2'
'-x+1/2,y+1/2,z+1/2'
'x+1/2,-y+1/2,z+1/2'
loop_
_atom_site_label
_atom_site_type_symbol
_atom_site_fract_x
_atom_site_fract_y
_atom_site_fract_z
_atom_site_occupancy
Gd1 Gd 0.0000 0.0000 0.0000 1
Bi1 Bi 0.0000 0.2500 0.4960 1
Bi2 Bi 0.0000 0.5000 0.0003 1
```

Principal peaks in the range 10 to 80 degrees two-theta, in order of falling intensity:
2θ (°)  I (rel.)  h k l
31.4  100  1 2 1
38.5  29  2 0 0
50.8  27  2 4 0
65.3  26  3 2 1
31.9  24  0 4 0
56.5  20  1 6 1
65.6  13  2 4 2
55.6  10  2 0 2
79.7  8  2 8 0
66.6  3  0 8 0


What did the fourth record say?
Structure and calculated powder diffractogram of La7Sm4Dy (a PBE-relaxed structure; copper Kα).

Atomic structure:
```
data_La7Sm4Dy
_cell_length_a 6.4111
_cell_length_b 7.3280
_cell_length_c 9.7449
_cell_angle_alpha 79.54
_cell_angle_beta 70.81
_cell_angle_gamma 89.97
_symmetry_space_group_name_H-M 'P -1'
_symmetry_Int_Tables_number 2
loop_
_symmetry_equiv_pos_as_xyz
'x,y,z'
'-x,-y,-z'
loop_
_atom_site_label
_atom_site_type_symbol
_atom_site_fract_x
_atom_site_fract_y
_atom_site_fract_z
_atom_site_occupancy
La1 La 0.0000 0.0000 0.0000 1
La2 La 0.1665 0.9156 0.3344 1
La3 La 0.3326 0.3356 0.6668 1
La4 La 0.4995 0.7479 0.0002 1
Sm1 Sm 0.1634 0.4171 0.3326 1
Sm2 Sm 0.3343 0.8320 0.6680 1
Dy1 Dy 0.0000 0.5000 0.0000 1
```

Principal peaks in the range 10 to 80 degrees two-theta, in order of falling intensity:
2θ (°)  I (rel.)  h k l
29.7  100  1 2 0
34.3  68  2 0 -1
29.6  51  2 0 2
29.8  49  -1 2 1
49.4  49  3 2 2
34.6  33  1 2 3
58.6  22  2 0 -4
58.8  22  3 2 5
58.5  15  4 0 1
58.9  14  1 2 6